# 1
This entry pairs a crystal structure of NbNi2H4 with its computed XRD peak list. Radiation: CuKα. Structure: a structure optimized by DFT (GGA-PBE).
No peak broadening, texture or thermal motion is included.

Structural model:
Cell lengths 5.434, 5.434, 6.863 Å; angles 90.00, 90.00, 90.00 degrees
Space group I4_1/amd (No. 141, origin choice 2)
Inequivalent atoms, fractional coordinates:
1 Nb 0.000 0.250 0.375 x4
2 Ni 0.000 0.000 0.000 x8
3 H 0.000 0.101 0.651 x16

Most intense lines, 10° ≤ 2θ ≤ 80°, low angle first:
index, 2θ (°), I_rel
2 0 0, 32.97, 23
1 1 2, 35.06, 34
2 1 1, 39.33, 100
2 0 2, 42.44, 39
1 0 3, 42.90, 41
3 2 1, 63.16, 24



# 2
This entry pairs a crystal structure of NbNiH with its computed XRD peak list. Radiation: CuKα. Structure: a structure optimized by DFT (GGA-PBE).
No peak broadening, texture or thermal motion is included.

Structural model:
Cell lengths 4.776, 2.716, 4.854 Å; angles 90.00, 101.28, 90.00 degrees
Space group P2/m (No. 10)
Inequivalent atoms, fractional coordinates:
1 Nb 0.226 0.000 0.297 x2
2 Ni 0.293 0.500 0.795 x2
3 H 0.000 0.500 0.000 x1
4 H 0.500 0.000 0.000 x1

Most intense lines, 10° ≤ 2θ ≤ 80°, low angle first:
index, 2θ (°), I_rel
0 0 2, 37.80, 50
2 0 0, 38.44, 57
1 0 -2, 38.95, 18
1 1 -1, 41.14, 100
1 1 1, 44.65, 80
2 0 -2, 48.94, 21



- Which formula does entry 2 have?
  NbNiH